# 1
Diffraction record for Ag3IrBr7. The X-ray diffraction stick pattern is computed, not measured: it uses a structure optimized by DFT (PBE) and Cu Kα, 1.54184 Å.

Structural model:
```
data_Ag3IrBr7
_chemical_formula_sum 'Ag6 Ir2 Br14'
_space_group_name_H-M_alt 'C 1 m 1'
_space_group_IT_number 8
_cell_length_a 13.3408
_cell_length_b 8.1162
_cell_length_c 7.1208
_cell_angle_alpha 90.00
_cell_angle_beta 113.92
_cell_angle_gamma 90.00
loop_
_space_group_symop_operation_xyz
'x,y,z'
'x,-y,z'
'x+1/2,y+1/2,z'
'x+1/2,-y+1/2,z'
loop_
_atom_site_label
_atom_site_fract_x
_atom_site_fract_y
_atom_site_fract_z
Ag1 0.0000 0.0000 0.0000
Ag2 0.4629 0.2190 0.5062
Ir1 0.4637 0.0000 0.0071
Br1 0.0561 0.0000 0.6690
Br2 0.0742 0.2773 0.2470
Br3 0.0947 0.5000 0.8401
Br4 0.3406 0.0000 0.2033
Br5 0.3513 0.2172 0.7680
```

Main lines, low angle first (2θ from 10° to 80°):
(1 1 0), 2θ = 13.10°, d = 6.757 Å, intensity 34; (2 0 0), 2θ = 14.53°, d = 6.098 Å, intensity 100; (0 2 1), 2θ = 25.87°, d = 3.444 Å, intensity 37; (4 0 -2), 2θ = 31.01°, d = 2.883 Å, intensity 43; (2 2 1), 2θ = 32.49°, d = 2.756 Å, intensity 75; (2 2 -3), 2θ = 44.26°, d = 2.047 Å, intensity 25; (0 4 0), 2θ = 44.65°, d = 2.030 Å, intensity 18; (6 2 -1), 2θ = 46.77°, d = 1.942 Å, intensity 23


# 2
Diffraction record for CeSc6In. The X-ray diffraction stick pattern is computed, not measured: it uses a structure optimized by DFT (PBE) and Cu Kα, 1.54184 Å.

Structural model:
```
data_CeSc6In
_chemical_formula_sum 'Ce1 Sc6 In1'
_space_group_name_H-M_alt 'P 4/m m m'
_space_group_IT_number 123
_space_group_name_Hall '-P 4 2'
_cell_length_a 4.6035
_cell_length_b 4.6035
_cell_length_c 9.2292
_cell_angle_alpha 90.00
_cell_angle_beta 90.00
_cell_angle_gamma 90.00
loop_
_atom_site_label
_atom_site_fract_x
_atom_site_fract_y
_atom_site_fract_z
Ce1 0.0000 0.0000 0.0000
Sc1 0.0000 0.5000 0.2564
Sc2 0.5000 0.5000 0.0000
Sc3 0.5000 0.5000 0.5000
In1 0.0000 0.0000 0.5000
```

Main lines, low angle first (2θ from 10° to 80°):
(0 0 2), 2θ = 19.26°, d = 4.607 Å, intensity 29; (1 1 0), 2θ = 27.38°, d = 3.258 Å, intensity 25; (1 1 2), 2θ = 33.69°, d = 2.660 Å, intensity 100; (2 0 0), 2θ = 39.10°, d = 2.304 Å, intensity 49; (2 0 2), 2θ = 43.94°, d = 2.060 Å, intensity 15; (2 2 0), 2θ = 56.49°, d = 1.629 Å, intensity 31; (1 1 6), 2θ = 67.33°, d = 1.391 Å, intensity 12; (3 1 2), 2θ = 67.46°, d = 1.388 Å, intensity 24


> Which formula does entry 1 have?

Ag3IrBr7